# LiMnF4
Computed powder XRD pattern, Cu Kα (λ = 1.5418 Å). Input: the PBE+U geometry in Alexandria.
Kinematic intensities with the Lorentz-polarization factor, no thermal factor.

Structure:
```
LiMnF4
1.0
4.6071 0.0000 0.0000
0.0000 11.3753 0.0000
0.0000 0.0000 5.1081
Li Mn F
4 4 16
direct
0.0000 0.0578 0.2500 Li
0.0000 0.9422 0.7500 Li
0.5000 0.4422 0.7500 Li
0.5000 0.5578 0.2500 Li
0.0000 0.3216 0.2500 Mn
0.0000 0.6784 0.7500 Mn
0.5000 0.1784 0.7500 Mn
0.5000 0.8216 0.2500 Mn
0.2223 0.1970 0.0969 F
0.2223 0.8030 0.5969 F
0.2440 0.4344 0.0981 F
0.2440 0.5656 0.5981 F
0.2560 0.0656 0.5981 F
0.2560 0.9344 0.0981 F
0.2777 0.3030 0.5969 F
0.2777 0.6970 0.0969 F
0.7223 0.3030 0.9031 F
0.7223 0.6970 0.4031 F
0.7440 0.0656 0.9019 F
0.7440 0.9344 0.4019 F
0.7560 0.4344 0.4019 F
0.7560 0.5656 0.9019 F
0.7777 0.1970 0.4031 F
0.7777 0.8030 0.9031 F
```

Peak list (12 most intense, 2θ from 10° to 80°, low angle first)
2θ = 15.58°, 5.688 Å, intensity 38; 2θ = 20.80°, 4.270 Å, intensity 11; 2θ = 23.41°, 3.800 Å, intensity 43; 2θ = 27.22°, 3.276 Å, intensity 100; 2θ = 30.53°, 2.928 Å, intensity 30; 2θ = 40.38°, 2.234 Å, intensity 27; 2θ = 41.27°, 2.187 Å, intensity 40; 2θ = 47.23°, 1.925 Å, intensity 22; 2θ = 53.57°, 1.711 Å, intensity 15; 2θ = 54.31°, 1.689 Å, intensity 40; 2θ = 63.37°, 1.468 Å, intensity 9; 2θ = 63.70°, 1.461 Å, intensity 18